Entry 1:
For Sc2GeIr, a crystal structure in OQMD, relaxed with PBE gives the calculated PXRD pattern in this record (Cu Kα).
Intensities are scaled so that the largest is 100.

Structure:
abc: 6.4664 6.4664 6.4664
angles: 90.00 90.00 90.00
Space group F-43m (No. 216)
One atom of each set of equivalent atoms:
Sc1 0.0000 0.0000 0.0000 [4 per cell]
Sc2 0.2500 0.2500 0.2500 [4 per cell]
Ge1 0.0000 0.0000 0.5000 [4 per cell]
Ir1 0.2500 0.2500 0.7500 [4 per cell]

Largest 6 diffraction maxima, by angle, 15° ≤ 2θ ≤ 90°:
d [Å]	I_rel
3.733	42
3.233	13
2.286	100
1.950	23
1.617	17
1.320	33

Entry 2:
For Er3O2F5, a crystal structure in OQMD, relaxed with PBE gives the calculated PXRD pattern in this record (Cu Kα).
Intensities are scaled so that the largest is 100.

Structure:
abc: 5.5349 16.8402 5.2772
angles: 90.00 90.00 90.00
Space group Pnma (No. 62)
One atom of each set of equivalent atoms:
Er1 0.1775 0.0968 0.0375 [8 per cell]
Er2 0.2407 0.2500 0.4578 [4 per cell]
O1 0.0347 0.6682 0.7015 [8 per cell]
F1 0.1078 0.5124 0.7773 [8 per cell]
F2 0.1201 0.2500 0.8654 [4 per cell]
F3 0.1659 0.6258 0.1691 [8 per cell]

Largest 6 diffraction maxima, by angle, 15° ≤ 2θ ≤ 90°:
d [Å]	I_rel
3.158	100
2.807	17
2.767	12
2.639	11
1.922	15
1.680	13

Entry 3:
For TaCd2Te2, a crystal structure in OQMD, relaxed with PBE gives the calculated PXRD pattern in this record (Cu Kα).
Intensities are scaled so that the largest is 100.

Structure:
abc: 3.4819 11.9479 12.5723
angles: 90.00 90.00 90.00
Space group Cmcm (No. 63)
One atom of each set of equivalent atoms:
Ta1 0.0000 0.0470 0.2500 [4 per cell]
Cd1 0.0000 0.3722 0.1335 [8 per cell]
Te1 0.0000 0.3551 0.6058 [8 per cell]

Largest 6 diffraction maxima, by angle, 15° ≤ 2θ ≤ 90°:
d [Å]	I_rel
4.330	32
2.987	36
2.951	34
2.621	90
2.290	100
2.165	47

Entry 4:
For Sm2Y2CBr5, a crystal structure in OQMD, relaxed with PBE gives the calculated PXRD pattern in this record (Cu Kα).
Intensities are scaled so that the largest is 100.

Structure:
abc: 17.9457 3.8759 8.3012
angles: 90.00 102.97 90.00
Space group C2/m (No. 12)
One atom of each set of equivalent atoms:
Sm1 0.0011 0.0000 0.2958 [4 per cell]
Y1 0.1379 0.5000 0.5719 [4 per cell]
C1 0.0000 0.5000 0.5000 [2 per cell]
Br1 0.0000 0.5000 0.0000 [2 per cell]
Br2 0.1665 0.0000 0.8328 [4 per cell]
Br3 0.1727 0.0000 0.3379 [4 per cell]

Largest 6 diffraction maxima, by angle, 15° ≤ 2θ ≤ 90°:
d [Å]	I_rel
2.915	47
2.833	100
2.598	31
2.036	29
2.027	29
1.614	18

Entry 5:
For Na2Tm, a crystal structure in OQMD, relaxed with PBE gives the calculated PXRD pattern in this record (Cu Kα).
Intensities are scaled so that the largest is 100.

Structure:
abc: 8.8426 8.8426 8.8426
angles: 90.00 90.00 90.00
Space group Fd-3m (No. 227, origin choice 2)
One atom of each set of equivalent atoms:
Na1 0.0000 0.0000 0.0000 [16 per cell]
Tm1 0.1250 0.1250 0.6250 [8 per cell]

Largest 6 diffraction maxima, by angle, 15° ≤ 2θ ≤ 90°:
d [Å]	I_rel
5.105	68
3.126	100
2.666	95
1.805	42
1.702	33
1.563	21

Entry 6:
For FeSeS, a crystal structure in OQMD, relaxed with PBE gives the calculated PXRD pattern in this record (Cu Kα).
Intensities are scaled so that the largest is 100.

Structure:
abc: 4.7090 3.3894 5.6075
angles: 90.00 92.68 90.00
Space group P2/m (No. 10)
One atom of each set of equivalent atoms:
Fe1 0.0000 0.0000 0.0000 [1 per cell]
Fe2 0.5000 0.5000 0.5000 [1 per cell]
Se1 0.2150 0.0000 0.6348 [2 per cell]
S1 0.2830 0.5000 0.1324 [2 per cell]

Largest 6 diffraction maxima, by angle, 15° ≤ 2θ ≤ 90°:
d [Å]	I_rel
3.522	81
2.750	100
2.496	86
2.457	60
1.805	80
1.635	63

Entry 7:
For CsTmSbSe3, a crystal structure in OQMD, relaxed with PBE gives the calculated PXRD pattern in this record (Cu Kα).
Intensities are scaled so that the largest is 100.

Structure:
abc: 3.9389 17.7514 11.8781
angles: 90.00 90.00 90.00
Space group Cmcm (No. 63)
One atom of each set of equivalent atoms:
Cs1 0.0000 0.1981 0.2500 [4 per cell]
Tm1 0.0000 0.5000 0.0000 [4 per cell]
Sb1 0.0000 0.1060 0.7500 [4 per cell]
Se1 0.0000 0.1116 0.5133 [8 per cell]
Se2 0.0000 0.4844 0.7500 [4 per cell]

Largest 6 diffraction maxima, by angle, 15° ≤ 2θ ≤ 90°:
d [Å]	I_rel
4.936	41
3.279	100
3.161	37
2.970	70
2.201	65
1.971	49

Entry 8:
For Ni2W3N, a crystal structure in OQMD, relaxed with PBE gives the calculated PXRD pattern in this record (Cu Kα).
Intensities are scaled so that the largest is 100.

Structure:
abc: 6.6723 6.6723 6.6723
angles: 90.00 90.00 90.00
Space group P4_132 (No. 213)
One atom of each set of equivalent atoms:
Ni1 0.0656 0.0656 0.0656 [8 per cell]
W1 0.0495 0.8750 0.7005 [12 per cell]
N1 0.1250 0.6250 0.8750 [4 per cell]

Largest 6 diffraction maxima, by angle, 15° ≤ 2θ ≤ 90°:
d [Å]	I_rel
2.984	17
2.224	100
2.110	59
2.012	26
1.309	23
1.239	19

Entry 9:
For Rb2PdCl4, a crystal structure in OQMD, relaxed with PBE gives the calculated PXRD pattern in this record (Cu Kα).
Intensities are scaled so that the largest is 100.

Structure:
abc: 4.3931 10.3988 10.2446
angles: 90.00 90.00 90.00
Space group Amm2 (No. 38)
One atom of each set of equivalent atoms:
Rb1 0.0000 0.2502 0.0000 [4 per cell]
Pd1 0.5000 0.0000 0.2493 [2 per cell]
Cl1 0.5000 0.0000 0.0213 [2 per cell]
Cl2 0.5000 0.0000 0.4772 [2 per cell]
Cl3 0.5000 0.2246 0.2498 [4 per cell]

Largest 6 diffraction maxima, by angle, 15° ≤ 2θ ≤ 90°:
d [Å]	I_rel
3.764	56
3.356	100
3.335	98
2.807	63
2.600	52
2.036	53

Entry 10:
For Pr3NdDy2Te2Pd, a crystal structure in OQMD, relaxed with PBE gives the calculated PXRD pattern in this record (Cu Kα).
Intensities are scaled so that the largest is 100.

Structure:
abc: 4.0701 15.0359 8.5926
angles: 90.00 90.00 90.00
Space group Amm2 (No. 38)
One atom of each set of equivalent atoms:
Pr1 0.0000 0.0000 0.0000 [2 per cell]
Pr2 0.0000 0.2039 0.3875 [4 per cell]
Nd1 0.5000 0.0000 0.3460 [2 per cell]
Dy1 0.5000 0.1211 0.7138 [4 per cell]
Te1 0.5000 0.1690 0.0904 [4 per cell]
Pd1 0.0000 0.0000 0.6070 [2 per cell]

Largest 6 diffraction maxima, by angle, 15° ≤ 2θ ≤ 90°:
d [Å]	I_rel
2.965	100
2.955	48
2.814	40
2.761	46
2.750	88
2.326	41

Entry 11:
For Nb3ZnCN, a crystal structure in OQMD, relaxed with PBE gives the calculated PXRD pattern in this record (Cu Kα).
Intensities are scaled so that the largest is 100.

Structure:
abc: 3.1398 3.1398 18.9075
angles: 90.00 90.00 120.00
Space group P-3m1 (No. 164)
One atom of each set of equivalent atoms:
Nb1 0.0000 0.0000 0.0000 [1 per cell]
Nb2 0.0000 0.0000 0.5000 [1 per cell]
Nb3 0.3333 0.6667 0.1320 [2 per cell]
Nb4 0.3333 0.6667 0.3669 [2 per cell]
Zn1 0.0000 0.0000 0.2495 [2 per cell]
C1 0.3333 0.6667 0.5712 [2 per cell]
N1 0.3333 0.6667 0.9317 [2 per cell]

Largest 6 diffraction maxima, by angle, 15° ≤ 2θ ≤ 90°:
d [Å]	I_rel
2.691	27
2.363	25
2.357	100
2.208	29
1.570	28
1.307	37

Entry 12:
For DyMg4AlCu2, a crystal structure in OQMD, relaxed with PBE gives the calculated PXRD pattern in this record (Cu Kα).
Intensities are scaled so that the largest is 100.

Structure:
abc: 6.1679 5.4593 14.6177
angles: 90.00 90.00 90.00
Space group Amm2 (No. 38)
One atom of each set of equivalent atoms:
Dy1 0.0000 0.0000 0.0000 [2 per cell]
Mg1 0.2533 0.0000 0.7816 [4 per cell]
Mg2 0.2653 0.0000 0.3441 [4 per cell]
Al1 0.0000 0.0000 0.4882 [2 per cell]
Cu1 0.0000 0.0000 0.1967 [2 per cell]
Cu2 0.0000 0.0000 0.6458 [2 per cell]

Largest 6 diffraction maxima, by angle, 15° ≤ 2θ ≤ 90°:
d [Å]	I_rel
4.714	100
2.841	67
2.730	88
2.496	76
2.378	66
2.359	67